The following is a simulated X-ray powder pattern of Cs2Li3B5O10. It was derived from DFT lattice parameters and positions (GGA-PBE), using a wavelength of 1.5418 Å.
Neutral-atom scattering factors, no anomalous dispersion.

Structure:
a b c (Å): 6.9088 6.9088 13.0744
angles (deg): 90.00 90.00 115.49
Element x y z (fractional)
Cs  0.2338  0.7662  0.7500
Cs  0.2913  0.2913  0.0000
Cs  0.7087  0.7087  0.5000
Cs  0.7662  0.2338  0.2500
Li  0.1778  0.5552  0.4629
Li  0.3197  0.6803  0.2500
Li  0.4448  0.8222  0.0371
Li  0.5552  0.1778  0.5371
Li  0.6803  0.3197  0.7500
Li  0.8222  0.4448  0.9629
B  0.0460  0.7151  0.0823
B  0.0835  0.9165  0.2500
B  0.2782  0.2811  0.6638
B  0.2811  0.2782  0.3362
B  0.2849  0.9540  0.4177
B  0.7151  0.0460  0.9177
B  0.7189  0.7218  0.8362
B  0.7218  0.7189  0.1638
B  0.9165  0.0835  0.7500
B  0.9540  0.2849  0.5823
O  0.1296  0.6591  0.0013
O  0.1491  0.8272  0.3408
O  0.1521  0.1715  0.7471
O  0.1715  0.1521  0.2529
O  0.1728  0.8509  0.1592
O  0.1807  0.3700  0.5926
O  0.3045  0.4778  0.3504
O  0.3409  0.8704  0.4987
O  0.3700  0.1807  0.4074
O  0.4778  0.3045  0.6496
O  0.5222  0.6955  0.1496
O  0.6300  0.8193  0.9074
O  0.6591  0.1296  0.9987
O  0.6955  0.5222  0.8504
O  0.8193  0.6300  0.0926
O  0.8272  0.1491  0.6592
O  0.8285  0.8479  0.7529
O  0.8479  0.8285  0.2471
O  0.8509  0.1728  0.8408
O  0.8704  0.3409  0.5013

Principal peaks in the range 5° ≤ 2θ ≤ 70°, by angle:
Position (°2θ), d (Å), I/Imax
15.7, 5.629, 602
20.4, 4.356, 497
24.9, 3.572, 1000
26.8, 3.331, 819
27.8, 3.212, 531
28.6, 3.118, 695
33.2, 2.702, 424
37.3, 2.411, 372
40.0, 2.256, 468
41.5, 2.178, 322